Record 1
Theoretical powder diffraction line list
Compound: CuAg3
Radiation: Cu Kα
Structure: a GGA-PBE-relaxed structure

Structure:
Cell lengths 5.7460, 5.7460, 4.6398 Å; angles 90.00, 90.00, 120.00 degrees
Space group P6_3/mmc (No. 194)
Asymmetric unit:
Cu: 0.3333 0.6667 0.2500 x2
Ag: 0.1694 0.3388 0.7500 x6

The 12 most intense peaks (2θ = 15–90°), by angle:
2theta  Rel. int.
26.3  5
36.1  24
38.8  26
41.2  100
54.0  14
64.9  16
71.9  18
76.6  2
78.3  18
79.8  13
83.3  3
89.4  3

=====

Record 2
Theoretical powder diffraction line list
Compound: K2H4Pt
Radiation: Cu Kα
Structure: a GGA-PBE-relaxed structure

Structure:
Cell lengths 5.810, 5.810, 7.813 Å; angles 90.00, 90.00, 90.00 degrees
Space group I4/mmm (No. 139)
Asymmetric unit:
K: 0.000 0.500 0.250 x4
H: 0.203 0.203 0.000 x8
Pt: 0.000 0.000 0.000 x2

The 12 most intense peaks (2θ = 15–90°), by angle:
2theta  Rel. int.
19.0  100
21.6  11
30.8  30
31.6  58
36.4  38
37.9  18
44.1  12
48.4  9
49.6  19
55.2  23
56.8  10
58.5  10

=====

Record 3
Theoretical powder diffraction line list
Compound: Be4AlFe
Radiation: Cu Kα
Structure: a GGA-PBE-relaxed structure

Structure:
Cell lengths 5.997, 5.997, 5.997 Å; angles 90.00, 90.00, 90.00 degrees
Space group F-43m (No. 216)
Asymmetric unit:
Be: 0.123 0.123 0.123 x16
Al: 0.000 0.000 0.500 x4
Fe: 0.250 0.250 0.750 x4

The 10 most intense peaks (2θ = 15–90°), by angle:
2theta  Rel. int.
25.7  100
29.8  18
42.6  97
50.5  90
52.9  7
61.9  8
68.2  16
70.2  5
78.1  29
83.8  25